[1]
# Y2NiRh3
Theoretical powder X-ray diffraction pattern, λ = 1.5418 Å (Cu Kα). Input: a PBE-relaxed structure.
Lines closer than 0.1° are merged.

Most intense lines, 2θ from 5° to 70°, by angle:
2theta  Rel. int.  (hkl)
37.49  60.3  1 0 3
39.79  81.6  1 1 2
40.15  100.0  2 0 1
62.28  26.8  2 1 3
68.94  30.5  2 0 5
69.90  26.1  2 2 0

Structural model:
```
data_Y2NiRh3
_chemical_formula_sum 'Y4 Ni2 Rh6'
_symmetry_space_group_name_H-M 'P 63/m m c'
_symmetry_Int_Tables_number 194
_symmetry_space_group_name_Hall '-P 6c 2c'
_cell_length_a 5.3827
_cell_length_b 5.3827
_cell_length_c 8.3922
_cell_angle_alpha 90.00
_cell_angle_beta 90.00
_cell_angle_gamma 120.00
loop_
_atom_site_label
_atom_site_type_symbol
_atom_site_fract_x
_atom_site_fract_y
_atom_site_fract_z
Y1 Y 0.3333 0.6667 0.0627
Ni1 Ni 0.0000 0.0000 0.0000
Rh1 Rh 0.1662 0.3323 0.7500
```

***

[2]
# Li6IrRh4
Theoretical powder X-ray diffraction pattern, λ = 1.5418 Å (Cu Kα). Input: a PBE-relaxed structure.
Lines closer than 0.1° are merged.

Most intense lines, 2θ from 5° to 70°, by angle:
2theta  Rel. int.  (hkl)
10.02  74.4  0 0 2
23.26  100.0  1 1 1
29.73  39.8  0 2 4
40.46  21.4  2 0 0
41.67  44.7  1 3 3
46.69  44.9  1 3 5

Structural model:
```
data_Li6IrRh4
_chemical_formula_sum 'Li24 Ir4 Rh16'
_symmetry_space_group_name_H-M 'F m m m'
_symmetry_Int_Tables_number 69
_symmetry_space_group_name_Hall '-F 2 2'
_cell_length_a 4.4587
_cell_length_b 8.2044
_cell_length_c 17.6598
_cell_angle_alpha 90.00
_cell_angle_beta 90.00
_cell_angle_gamma 90.00
loop_
_atom_site_label
_atom_site_type_symbol
_atom_site_fract_x
_atom_site_fract_y
_atom_site_fract_z
Li1 Li 0.0000 0.0000 0.1475
Li2 Li 0.0000 0.1585 0.0000
Li3 Li 0.2500 0.2500 0.2500
Ir1 Ir 0.0000 0.0000 0.5000
Rh1 Rh 0.0000 0.1711 0.3816
```

***

[3]
# Pr3Ni6As5
Theoretical powder X-ray diffraction pattern, λ = 1.5418 Å (Cu Kα). Input: a PBE-relaxed structure.
Lines closer than 0.1° are merged.

Most intense lines, 2θ from 5° to 70°, by angle:
2theta  Rel. int.  (hkl)
35.23  34.3  0 3 3
35.33  39.5  1 0 3
36.34  100.0  1 3 2
44.62  24.1  0 6 0
44.96  29.8  2 0 0
51.76  23.6  0 3 5

Structural model:
```
data_Pr3Ni6As5
_chemical_formula_sum 'Pr6 Ni12 As10'
_symmetry_space_group_name_H-M 'P m m n'
_symmetry_Int_Tables_number 59
_cell_length_a 4.0324
_cell_length_b 12.1843
_cell_length_c 9.8133
_cell_angle_alpha 90.00
_cell_angle_beta 90.00
_cell_angle_gamma 90.00
loop_
_symmetry_equiv_pos_as_xyz
'x,y,z'
'-x,-y,-z'
'-x+1/2,-y+1/2,z'
'x+1/2,y+1/2,-z'
'x+1/2,-y,-z'
'-x+1/2,y,z'
'-x,y+1/2,-z'
'x,-y+1/2,z'
loop_
_atom_site_label
_atom_site_type_symbol
_atom_site_fract_x
_atom_site_fract_y
_atom_site_fract_z
Pr1 Pr 0.2500 0.0875 0.2466
Pr2 Pr 0.2500 0.7500 0.2524
Ni1 Ni 0.2500 0.0685 0.8884
Ni2 Ni 0.2500 0.2500 0.0024
Ni3 Ni 0.2500 0.2500 0.5082
Ni4 Ni 0.2500 0.5784 0.4950
As1 As 0.2500 0.0806 0.6404
As2 As 0.2500 0.6165 0.9895
As3 As 0.2500 0.7500 0.6203
```

***

[4]
# Rb2PdS2
Theoretical powder X-ray diffraction pattern, λ = 1.5418 Å (Cu Kα). Input: a PBE-relaxed structure.
Lines closer than 0.1° are merged.

Most intense lines, 2θ from 5° to 70°, by angle:
2theta  Rel. int.  (hkl)
24.39  44.5  0 0 1
26.34  31.0  2 1 0
28.27  100.0  1 3 0
35.15  53.1  2 0 1
37.67  82.1  1 3 1
58.43  37.7  1 3 2

Structural model:
```
data_Rb2PdS2
_chemical_formula_sum 'Rb4 Pd2 S4'
_symmetry_space_group_name_H-M 'P b a m'
_symmetry_Int_Tables_number 55
_cell_length_a 7.1450
_cell_length_b 10.5581
_cell_length_c 3.6492
_cell_angle_alpha 90.00
_cell_angle_beta 90.00
_cell_angle_gamma 90.00
loop_
_symmetry_equiv_pos_as_xyz
'x,y,z'
'-x,-y,-z'
'-x,-y,z'
'x,y,-z'
'x+1/2,-y+1/2,-z'
'-x+1/2,y+1/2,z'
'-x+1/2,y+1/2,-z'
'x+1/2,-y+1/2,z'
loop_
_atom_site_label
_atom_site_type_symbol
_atom_site_fract_x
_atom_site_fract_y
_atom_site_fract_z
Rb1 Rb 0.0729 0.1690 0.0000
Pd1 Pd 0.0000 0.5000 0.0000
S1 S 0.1951 0.4338 0.5000
```